1.
Computed powder X-ray diffraction pattern of Ce3SnBi2 for λ = 1.5418 Å (Cu Kα), from a DFT-relaxed cell (PBE, Alexandria).
No peak broadening, texture or thermal motion is included.

Principal peaks in the range 10° ≤ 2θ ≤ 80°, by angle:
two_theta  intensity
13.5  2
17.6  1
23.9  3
27.6  100
39.5  78
46.7  2
48.9  28
57.1  13
62.8  1
64.6  37
71.6  28
76.7  1

Crystal structure
```
12
Lattice="3.953 -6.845 0.000 3.953 6.845 0.000 -2.637 0.000 7.450" Properties=species:S:1:pos:R:3 pbc="T T T"
Ce 1.976 3.422 0.000
Ce 0.609 1.114 3.708
Ce -0.710 -1.114 7.433
Ce 0.658 -3.422 3.725
Ce 5.978 1.114 0.017
Ce 4.659 -1.114 3.742
Sn 3.293 5.668 1.863
Sn 1.975 -5.668 5.588
Bi 1.975 3.382 5.588
Bi 3.293 1.134 1.863
Bi 1.975 -1.134 5.588
Bi 3.293 -3.382 1.863
```

2.
Computed powder X-ray diffraction pattern of Ba2Al2BiO6 for λ = 1.5418 Å (Cu Kα), from a DFT-relaxed cell (PBE, Alexandria).
No peak broadening, texture or thermal motion is included.

Principal peaks in the range 10° ≤ 2θ ≤ 80°, by angle:
two_theta  intensity
17.8  65
25.4  40
29.1  100
29.9  89
39.7  28
42.3  41
51.2  20
52.6  39
53.1  39
62.2  17
68.9  17
70.1  17

Crystal structure
```
11
Lattice="2.986 1.724 6.343 -2.986 1.724 6.343 0.000 -3.448 6.343" Properties=species:S:1:pos:R:3 pbc="T T T"
Ba 0.000 0.000 3.924
Ba 0.000 0.000 15.103
Al 0.000 0.000 7.987
Al 0.000 0.000 11.040
Bi 0.000 0.000 0.000
O -1.490 -0.860 10.949
O 0.000 -1.720 8.079
O -1.490 0.860 8.079
O 1.490 -0.860 10.949
O 0.000 1.720 10.949
O 1.490 0.860 8.079
```

3.
Computed powder X-ray diffraction pattern of Mn3Fe5 for λ = 1.5418 Å (Cu Kα), from a DFT-relaxed cell (PBE, Alexandria).
No peak broadening, texture or thermal motion is included.

Principal peaks in the range 10° ≤ 2θ ≤ 80°, by angle:
two_theta  intensity
41.9  12
42.2  27
45.9  40
48.0  53
48.4  100
63.9  6
64.2  14
76.7  15
77.5  7

Crystal structure
```
8
Lattice="2.463 0.000 0.000 0.000 3.953 0.000 0.000 0.000 8.630" Properties=species:S:1:pos:R:3 pbc="T T T"
Mn 0.000 0.000 0.000
Mn 0.000 1.976 1.417
Mn 1.232 0.000 2.175
Fe 0.000 0.000 4.306
Fe 0.000 1.976 5.743
Fe 1.232 0.000 6.464
Fe 1.232 1.976 3.589
Fe 1.232 1.976 7.893
```

Copy entry 2 word for word.
Computed powder X-ray diffraction pattern of Ba2Al2BiO6 for λ = 1.5418 Å (Cu Kα), from a DFT-relaxed cell (PBE, Alexandria).
No peak broadening, texture or thermal motion is included.

Principal peaks in the range 10° ≤ 2θ ≤ 80°, by angle:
two_theta  intensity
17.8  65
25.4  40
29.1  100
29.9  89
39.7  28
42.3  41
51.2  20
52.6  39
53.1  39
62.2  17
68.9  17
70.1  17

Crystal structure
```
11
Lattice="2.986 1.724 6.343 -2.986 1.724 6.343 0.000 -3.448 6.343" Properties=species:S:1:pos:R:3 pbc="T T T"
Ba 0.000 0.000 3.924
Ba 0.000 0.000 15.103
Al 0.000 0.000 7.987
Al 0.000 0.000 11.040
Bi 0.000 0.000 0.000
O -1.490 -0.860 10.949
O 0.000 -1.720 8.079
O -1.490 0.860 8.079
O 1.490 -0.860 10.949
O 0.000 1.720 10.949
O 1.490 0.860 8.079
```